Record 1
For UCoP2Rh2, the GGA-PBE geometry in Alexandria gives the calculated powder diffractogram in this record (a wavelength of 1.5418 Å).

Structure:
Cell: 3.8437 3.8437 13.7202 Å, 90.00 90.00 90.00°
Space group I4/mmm (No. 139)
Unique sites:
1 U 0.0000 0.0000 0.0000 (multiplicity 2)
2 Co 0.0000 0.0000 0.5000 (multiplicity 2)
3 P 0.0000 0.0000 0.3470 (multiplicity 4)
4 Rh 0.0000 0.5000 0.2500 (multiplicity 4)

Top 10 peaks for 2θ = 15–90°, by intensity:
2θ 35.5, I 100.0
2θ 26.0, I 50.1
2θ 52.3, I 43.6
2θ 30.4, I 33.0
2θ 47.3, I 30.2
2θ 54.7, I 26.0
2θ 80.2, I 19.2
2θ 24.0, I 18.1
2θ 74.1, I 13.3
2θ 57.3, I 11.4

---

Record 2
For SiSN, the GGA-PBE geometry in Alexandria gives the calculated powder diffractogram in this record (a wavelength of 1.5418 Å).

Structure:
Cell: 2.8885 5.0962 6.7430 Å, 93.72 99.59 90.00°
Space group P1 (No. 1)
Unique sites:
1 Si 0.0000 0.0000 0.0000 (multiplicity 1)
2 Si 0.4506 0.5000 0.0000 (multiplicity 1)
3 S 0.3044 0.0622 0.3185 (multiplicity 1)
4 S 0.3940 0.5623 0.3185 (multiplicity 1)
5 N 0.4713 0.8219 0.9202 (multiplicity 1)
6 N 0.9172 0.3219 0.9202 (multiplicity 1)

Top 10 peaks for 2θ = 15–90°, by intensity:
2θ 37.0, I 100.0
2θ 26.9, I 89.7
2θ 40.8, I 68.8
2θ 35.3, I 52.4
2θ 36.3, I 50.0
2θ 31.4, I 40.7
2θ 32.1, I 37.4
2θ 47.7, I 23.5
2θ 53.1, I 23.5
2θ 36.0, I 21.1

---

Record 3
For Ac4Ni2Ru, the GGA-PBE geometry in Alexandria gives the calculated powder diffractogram in this record (a wavelength of 1.5418 Å).

Structure:
Cell: 7.0211 4.2728 7.6996 Å, 90.00 105.89 90.00°
Space group P2/m (No. 10)
Unique sites:
1 Ac 0.0818 0.0000 0.2647 (multiplicity 2)
2 Ac 0.4042 0.5000 0.7434 (multiplicity 2)
3 Ni 0.3340 0.0000 0.0040 (multiplicity 2)
4 Ru 0.0000 0.5000 0.5000 (multiplicity 1)

Top 10 peaks for 2θ = 15–90°, by intensity:
2θ 32.0, I 100.0
2θ 25.8, I 46.0
2θ 24.7, I 44.8
2θ 37.2, I 38.2
2θ 44.1, I 36.1
2θ 24.0, I 35.8
2θ 49.2, I 25.7
2θ 42.3, I 24.1
2θ 29.1, I 20.9
2θ 54.0, I 15.9

---

Record 4
For KCdHg5, the GGA-PBE geometry in Alexandria gives the calculated powder diffractogram in this record (a wavelength of 1.5418 Å).

Structure:
Cell: 5.0105 5.0105 8.5245 Å, 90.00 90.00 90.00°
Space group P4/mmm (No. 123)
Unique sites:
1 K 0.0000 0.0000 0.0000 (multiplicity 1)
2 Cd 0.0000 0.0000 0.5000 (multiplicity 1)
3 Hg 0.0000 0.5000 0.2884 (multiplicity 4)
4 Hg 0.5000 0.5000 0.0000 (multiplicity 1)

Top 10 peaks for 2θ = 15–90°, by intensity:
2θ 32.9, I 100.0
2θ 35.8, I 46.9
2θ 62.5, I 31.8
2θ 20.6, I 20.7
2θ 25.1, I 16.8
2θ 51.6, I 16.7
2θ 27.3, I 14.3
2θ 48.4, I 13.1
2θ 56.7, I 12.3
2θ 60.2, I 12.2

---

Record 5
For Mg5MnSb4, the GGA-PBE geometry in Alexandria gives the calculated powder diffractogram in this record (a wavelength of 1.5418 Å).

Structure:
Cell: 4.5548 4.5548 14.5068 Å, 90.00 90.00 120.00°
Space group P3m1 (No. 156)
Unique sites:
1 Mg 0.0000 0.0000 0.0000 (multiplicity 1)
2 Mg 0.0000 0.0000 0.4965 (multiplicity 1)
3 Mg 0.3333 0.6667 0.1860 (multiplicity 1)
4 Mg 0.3333 0.6667 0.6828 (multiplicity 1)
5 Mg 0.6667 0.3333 0.8687 (multiplicity 1)
6 Mn 0.6667 0.3333 0.3715 (multiplicity 1)
7 Sb 0.0000 0.0000 0.2998 (multiplicity 1)
8 Sb 0.0000 0.0000 0.7958 (multiplicity 1)
9 Sb 0.6667 0.3333 0.0735 (multiplicity 1)
10 Sb 0.6667 0.3333 0.5679 (multiplicity 1)

Top 10 peaks for 2θ = 15–90°, by intensity:
2θ 25.7, I 100.0
2θ 39.6, I 62.1
2θ 33.6, I 60.0
2θ 43.9, I 45.4
2θ 22.5, I 40.8
2θ 47.1, I 29.2
2θ 24.5, I 28.5
2θ 47.8, I 18.5
2θ 74.8, I 18.0
2θ 60.6, I 16.9

---

Record 6
For Th3OsPt, the GGA-PBE geometry in Alexandria gives the calculated powder diffractogram in this record (a wavelength of 1.5418 Å).

Structure:
Cell: 6.2600 5.3354 8.4254 Å, 90.00 90.00 90.00°
Space group Pmma (No. 51)
Unique sites:
1 Th 0.0000 0.0000 0.0000 (multiplicity 2)
2 Th 0.2500 0.0000 0.3673 (multiplicity 2)
3 Th 0.2500 0.5000 0.7480 (multiplicity 2)
4 Os 0.2500 0.0000 0.6922 (multiplicity 2)
5 Pt 0.2500 0.5000 0.1106 (multiplicity 2)

Top 10 peaks for 2θ = 15–90°, by intensity:
2θ 34.9, I 100.0
2θ 33.6, I 89.0
2θ 36.1, I 57.0
2θ 35.0, I 54.0
2θ 35.7, I 45.2
2θ 28.5, I 44.7
2θ 49.3, I 41.9
2θ 49.9, I 36.0
2θ 30.6, I 35.4
2θ 44.6, I 27.1

---

Record 7
For Ba4NaZr3O12, the GGA-PBE geometry in Alexandria gives the calculated powder diffractogram in this record (a wavelength of 1.5418 Å).

Structure:
Cell: 8.5877 8.5877 8.5877 Å, 90.00 90.00 90.00°
Space group Im-3m (No. 229)
Unique sites:
1 Ba 0.2500 0.2500 0.2500 (multiplicity 8)
2 Na 0.0000 0.0000 0.0000 (multiplicity 2)
3 Zr 0.0000 0.0000 0.5000 (multiplicity 6)
4 O 0.0000 0.0000 0.2627 (multiplicity 12)
5 O 0.0000 0.2500 0.5000 (multiplicity 12)

Top 10 peaks for 2θ = 15–90°, by intensity:
2θ 29.4, I 100.0
2θ 52.2, I 40.3
2θ 42.1, I 33.1
2θ 84.4, I 21.0
2θ 61.0, I 20.4
2θ 69.2, I 17.7
2θ 36.2, I 11.5
2θ 76.9, I 6.7
2θ 20.7, I 4.2
2θ 73.1, I 3.5

---

Record 8
For CeIn2CoHg, the GGA-PBE geometry in Alexandria gives the calculated powder diffractogram in this record (a wavelength of 1.5418 Å).

Structure:
Cell: 5.0497 5.0497 4.7560 Å, 90.00 90.00 90.00°
Space group P4/mmm (No. 123)
Unique sites:
1 Ce 0.0000 0.0000 0.0000 (multiplicity 1)
2 In 0.0000 0.5000 0.5000 (multiplicity 2)
3 Co 0.0000 0.0000 0.5000 (multiplicity 1)
4 Hg 0.5000 0.5000 0.0000 (multiplicity 1)

Top 10 peaks for 2θ = 15–90°, by intensity:
2θ 31.3, I 100.0
2θ 35.6, I 55.3
2θ 52.9, I 35.0
2θ 61.2, I 30.4
2θ 37.8, I 23.3
2θ 51.2, I 19.4
2θ 65.4, I 18.3
2θ 64.3, I 12.8
2θ 86.5, I 11.8
2θ 25.7, I 9.5

---

Copy entry 5 word for word.
For Mg5MnSb4, the GGA-PBE geometry in Alexandria gives the calculated powder diffractogram in this record (a wavelength of 1.5418 Å).

Structure:
Cell: 4.5548 4.5548 14.5068 Å, 90.00 90.00 120.00°
Space group P3m1 (No. 156)
Unique sites:
1 Mg 0.0000 0.0000 0.0000 (multiplicity 1)
2 Mg 0.0000 0.0000 0.4965 (multiplicity 1)
3 Mg 0.3333 0.6667 0.1860 (multiplicity 1)
4 Mg 0.3333 0.6667 0.6828 (multiplicity 1)
5 Mg 0.6667 0.3333 0.8687 (multiplicity 1)
6 Mn 0.6667 0.3333 0.3715 (multiplicity 1)
7 Sb 0.0000 0.0000 0.2998 (multiplicity 1)
8 Sb 0.0000 0.0000 0.7958 (multiplicity 1)
9 Sb 0.6667 0.3333 0.0735 (multiplicity 1)
10 Sb 0.6667 0.3333 0.5679 (multiplicity 1)

Top 10 peaks for 2θ = 15–90°, by intensity:
2θ 25.7, I 100.0
2θ 39.6, I 62.1
2θ 33.6, I 60.0
2θ 43.9, I 45.4
2θ 22.5, I 40.8
2θ 47.1, I 29.2
2θ 24.5, I 28.5
2θ 47.8, I 18.5
2θ 74.8, I 18.0
2θ 60.6, I 16.9